Entry 1:
Dy2Al3Au4: computed X-ray powder pattern (λ = 1.5418 Å (Cu Kα)), based on a cell relaxed with GGA-PBE.
Lines closer than 0.1° are merged.

Principal peaks in the range 15 to 90 degrees two-theta, low angle first:
two_theta, I_rel, index
25.47, 34, 0 4 1
25.71, 81, 0 2 2
32.71, 28, 1 3 2
34.50, 94, 1 5 1
34.94, 67, 2 2 1
36.27, 23, 0 6 1
36.78, 61, 0 2 3
38.81, 100, 2 0 2
40.37, 26, 2 4 1
41.72, 26, 0 6 2
64.12, 23, 4 0 0
68.54, 27, 2 6 4

Structural model:
```
data_Dy2Al3Au4
_space_group_name_H-M_alt 'C m c e'
_space_group_IT_number 64
_space_group_name_Hall '-C 2ac 2'
_cell_length_a 5.8076
_cell_length_b 15.6927
_cell_length_c 7.7148
_cell_angle_alpha 90.00
_cell_angle_beta 90.00
_cell_angle_gamma 90.00
loop_
_atom_site_label
_atom_site_fract_x
_atom_site_fract_y
_atom_site_fract_z
_atom_site_occupancy
Dy1 0.0000 0.1051 0.0960 1
Al1 0.0000 0.0000 0.5000 1
Al2 0.2500 0.2304 0.7500 1
Au1 0.0000 0.1791 0.4723 1
Au2 0.2500 0.0596 0.7500 1
```

Entry 2:
Cd2SnPb4: computed X-ray powder pattern (λ = 1.5418 Å (Cu Kα)), based on a cell relaxed with GGA-PBE.
Lines closer than 0.1° are merged.

Principal peaks in the range 15 to 90 degrees two-theta, low angle first:
two_theta, I_rel, index
31.68, 100, 0 2 1
32.01, 48, 0 1 -3
32.03, 48, 2 1 -1
35.59, 37, 0 3 -2
36.03, 35, -2 1 2
39.13, 27, 2 0 2
51.09, 13, 2 -4 0
54.24, 20, 4 -1 0
61.29, 15, 0 5 -1
61.89, 27, 2 4 -3
62.48, 13, 4 0 -3
66.21, 16, 0 4 2

Structural model:
```
data_Cd2SnPb4
_space_group_name_H-M_alt 'P 1'
_space_group_IT_number 1
_space_group_name_Hall 'P 1'
_cell_length_a 6.7865
_cell_length_b 8.0068
_cell_length_c 8.4100
_cell_angle_alpha 112.14
_cell_angle_beta 93.24
_cell_angle_gamma 103.92
loop_
_atom_site_label
_atom_site_fract_x
_atom_site_fract_y
_atom_site_fract_z
_atom_site_occupancy
Cd1 0.0000 0.0000 0.0000 1
Cd2 0.0707 0.2748 0.4050 1
Cd3 0.2222 0.8692 0.2592 1
Cd4 0.6362 0.5854 0.8466 1
Sn1 0.4957 0.0031 0.9910 1
Sn2 0.9055 0.7296 0.5866 1
Pb1 0.1341 0.5779 0.8401 1
Pb2 0.2782 0.1454 0.6830 1
Pb3 0.3624 0.4171 0.1165 1
Pb4 0.3937 0.7109 0.5472 1
Pb5 0.5797 0.2920 0.4217 1
Pb6 0.7254 0.8594 0.2665 1
Pb7 0.7812 0.1364 0.7126 1
Pb8 0.8805 0.4473 0.1530 1
```

Entry 3:
NbH4Rh4: computed X-ray powder pattern (λ = 1.5418 Å (Cu Kα)), based on a cell relaxed with GGA-PBE.
Lines closer than 0.1° are merged.

Principal peaks in the range 15 to 90 degrees two-theta, low angle first:
two_theta, I_rel, index
38.00, 50, 1 -1 0
38.06, 48, 1 2 1
38.41, 100, 1 0 2
43.11, 35, 0 1 2
44.22, 33, 0 2 -1
45.92, 30, 2 1 1
63.99, 11, 0 1 -3
64.80, 20, 2 2 3
75.41, 11, 1 3 3
76.99, 11, 1 4 0
77.72, 12, 1 3 -2
79.93, 11, 3 2 0

Structural model:
```
data_NbH4Rh4
_space_group_name_H-M_alt 'P -1'
_space_group_IT_number 2
_space_group_name_Hall '-P 1'
_cell_length_a 3.9528
_cell_length_b 5.0321
_cell_length_c 5.0450
_cell_angle_alpha 79.80
_cell_angle_beta 66.97
_cell_angle_gamma 66.96
loop_
_atom_site_label
_atom_site_fract_x
_atom_site_fract_y
_atom_site_fract_z
_atom_site_occupancy
Nb1 0.0000 0.0000 0.0000 1
H1 0.3109 0.7801 0.5944 1
H2 0.4420 0.9474 0.1685 1
Rh1 0.1894 0.2080 0.4130 1
Rh2 0.3811 0.4266 0.8118 1
```

Entry 4:
Zn5Ga2Ag12: computed X-ray powder pattern (λ = 1.5418 Å (Cu Kα)), based on a cell relaxed with GGA-PBE.
Lines closer than 0.1° are merged.

Principal peaks in the range 15 to 90 degrees two-theta, low angle first:
two_theta, I_rel, index
32.98, 19, 3 1 1
34.48, 27, 2 2 -2
39.51, 49, 2 0 -3
39.66, 13, 1 3 -2
39.85, 97, 2 2 2
39.88, 100, 4 2 -1
40.14, 45, 0 4 0
57.59, 22, 2 4 -3
57.71, 13, 6 0 1
71.90, 26, 0 2 5
72.19, 14, 4 0 4
72.75, 16, 4 6 -1

Structural model:
```
data_Zn5Ga2Ag12
_space_group_name_H-M_alt 'C 1 2/m 1'
_space_group_IT_number 12
_space_group_name_Hall '-C 2y'
_cell_length_a 10.6111
_cell_length_b 8.9858
_cell_length_c 7.0277
_cell_angle_alpha 90.00
_cell_angle_beta 102.27
_cell_angle_gamma 90.00
loop_
_atom_site_label
_atom_site_fract_x
_atom_site_fract_y
_atom_site_fract_z
_atom_site_occupancy
Zn1 0.0000 0.0000 0.0000 1
Zn2 0.1274 0.5000 0.6001 1
Zn3 0.2477 0.0000 0.0254 1
Ga1 0.0000 0.2448 0.5000 1
Ag1 0.0738 0.5000 0.1983 1
Ag2 0.1034 0.2505 0.8873 1
Ag3 0.1516 0.0000 0.6195 1
Ag4 0.1837 0.2042 0.3013 1
```

Entry 5:
Li3PmCu8: computed X-ray powder pattern (λ = 1.5418 Å (Cu Kα)), based on a cell relaxed with GGA-PBE.
Lines closer than 0.1° are merged.

Principal peaks in the range 15 to 90 degrees two-theta, low angle first:
two_theta, I_rel, index
20.50, 56, 1 0 0
23.20, 65, 1 0 1
29.93, 32, 1 0 2
38.83, 50, 0 1 3
42.27, 92, 1 1 2
43.18, 100, 2 0 1
43.97, 27, 0 0 4
47.42, 39, 0 2 2
48.97, 21, 1 0 4
68.90, 20, 3 0 2
72.01, 26, 0 2 5
76.11, 23, 2 2 0

Structural model:
```
data_Li3PmCu8
_space_group_name_H-M_alt 'P 3 m 1'
_space_group_IT_number 156
_space_group_name_Hall 'P 3 -2"'
_cell_length_a 5.0029
_cell_length_b 5.0029
_cell_length_c 8.2374
_cell_angle_alpha 90.00
_cell_angle_beta 90.00
_cell_angle_gamma 120.00
loop_
_atom_site_label
_atom_site_fract_x
_atom_site_fract_y
_atom_site_fract_z
_atom_site_occupancy
Li1 0.0000 0.0000 0.0000 1
Li2 0.0000 0.0000 0.3417 1
Li3 0.3333 0.6667 0.9111 1
Pm1 0.3333 0.6667 0.5098 1
Cu1 0.0002 0.5001 0.1900 1
Cu2 0.3290 0.1645 0.7052 1
Cu3 0.6667 0.3333 0.4428 1
Cu4 0.6667 0.3333 0.9452 1
```

Entry 6:
SiAu3: computed X-ray powder pattern (λ = 1.5418 Å (Cu Kα)), based on a cell relaxed with GGA-PBE.
Lines closer than 0.1° are merged.

Principal peaks in the range 15 to 90 degrees two-theta, low angle first:
two_theta, I_rel, index
30.85, 75, 1 0 2
31.93, 37, 1 2 1
33.33, 57, 1 1 2
34.83, 48, 2 1 1
38.80, 60, 2 2 0
39.96, 100, 0 3 1
42.78, 31, 1 3 1
46.94, 28, 3 0 1
50.94, 20, 1 2 3
55.75, 18, 0 0 4
66.78, 27, 3 3 2
69.99, 18, 2 2 4

Structural model:
```
data_SiAu3
_space_group_name_H-M_alt 'P n m a'
_space_group_IT_number 62
_space_group_name_Hall '-P 2ac 2n'
_cell_length_a 6.0742
_cell_length_b 7.1977
_cell_length_c 6.5952
_cell_angle_alpha 90.00
_cell_angle_beta 90.00
_cell_angle_gamma 90.00
loop_
_atom_site_label
_atom_site_fract_x
_atom_site_fract_y
_atom_site_fract_z
_atom_site_occupancy
Si1 0.1636 0.2500 0.0869 1
Au1 0.0044 0.7500 0.3469 1
Au2 0.1958 0.5518 0.8815 1
```